# Li2ScBr5
Computed powder diffractogram, Cu Kα X-rays. Input: a PBE-relaxed structure.

Cell and atoms:
Unit cell a=11.222 b=8.518 c=6.781 alpha=90.00 beta=119.41 gamma=90.00
Space group Cm (No. 8)
Unique sites:
1 Li 0.000 0.220 0.000 (multiplicity 4)
2 Sc 0.301 0.500 0.229 (multiplicity 2)
3 Br 0.052 0.500 0.181 (multiplicity 2)
4 Br 0.056 0.000 0.297 (multiplicity 2)
5 Br 0.241 0.251 0.990 (multiplicity 4)
6 Br 0.400 0.500 0.665 (multiplicity 2)

The 8 most intense peaks (2θ = 15–90°), in order of rising 2θ:
25.79°, 3.455 Å, rel. 81, hkl 0 2 1; 26.51°, 3.362 Å, rel. 56, hkl 2 0 -2; 26.99°, 3.304 Å, rel. 100, hkl 2 2 -1; 27.78°, 3.211 Å, rel. 84, hkl 2 2 0; 28.88°, 3.091 Å, rel. 87, hkl 2 0 1; 32.03°, 2.795 Å, rel. 81, hkl 4 0 -1; 37.04°, 2.427 Å, rel. 82, hkl 0 2 2; 42.44°, 2.130 Å, rel. 41, hkl 0 4 0